Record 1
Diffraction record for Fe4CoN. The X-ray diffraction stick pattern is computed, not measured: it uses a cell relaxed with PBE and Cu Kα.
Lines closer than 0.1° are merged.

Structure:
a = 4.7107 Å, b = 4.8276 Å, c = 5.9284 Å
α = 90.00°, β = 90.00°, γ = 90.00°
Space group Pmna (No. 53)
Asymmetric unit:
Fe  0.0000  0.1656  0.1377
Fe  0.2500  0.3458  0.7500
Co  0.0000  0.0000  0.5000
N  0.0000  0.5000  0.0000

Principal peaks in the range 2θ = 5–70°, by angle:
h k l  2θ/deg  intensity
0 1 2  35.54  38
0 2 1  40.34  84
1 1 2  40.52  47
2 1 0  42.71  62
1 2 1  44.88  26
2 1 1  45.50  100
2 0 2  49.42  38
0 1 3  49.86  28
1 0 3  50.06  28
1 1 3  53.77  30



Record 2
Diffraction record for FeCo10N8. The X-ray diffraction stick pattern is computed, not measured: it uses a cell relaxed with PBE and Cu Kα.
Lines closer than 0.1° are merged.

Structure:
a = 14.0413 Å, b = 3.9347 Å, c = 6.3497 Å
α = 90.00°, β = 106.65°, γ = 90.00°
Space group C2/m (No. 12)
Asymmetric unit:
Fe  0.0000  0.0000  0.0000
Co  0.0452  0.5000  0.7006
Co  0.0959  0.0000  0.4907
Co  0.1416  0.5000  0.1785
Co  0.1752  0.0000  0.9481
Co  0.2214  0.5000  0.6637
N  0.0433  0.0000  0.7398
N  0.1006  0.5000  0.4441
N  0.1393  0.0000  0.2195
N  0.1795  0.5000  0.9161

Principal peaks in the range 2θ = 5–70°, by angle:
h k l  2θ/deg  intensity
2 0 -1  16.61  8
1 1 2  39.51  97
5 1 -1  39.78  100
4 0 -3  45.11  48
0 2 0  46.14  63
6 0 1  47.04  56
4 2 -3  66.51  26
2 0 4  66.84  13
10 0 -2  67.59  13
6 2 1  68.01  33



Record 3
Diffraction record for Fe10CoN8. The X-ray diffraction stick pattern is computed, not measured: it uses a cell relaxed with PBE and Cu Kα.
Lines closer than 0.1° are merged.

Structure:
a = 17.3991 Å, b = 3.7950 Å, c = 6.0185 Å
α = 90.00°, β = 107.97°, γ = 90.00°
Space group C2/m (No. 12)
Asymmetric unit:
Fe  0.0214  0.0000  0.2884
Fe  0.0735  0.5000  0.6691
Fe  0.1461  0.5000  0.2760
Fe  0.1751  0.0000  0.6209
Fe  0.1980  0.0000  0.0512
Co  0.0000  0.5000  0.0000
N  0.0368  0.5000  0.3175
N  0.1008  0.0000  0.7772
N  0.1413  0.0000  0.2994
N  0.2305  0.5000  0.1461

Principal peaks in the range 2θ = 5–70°, by angle:
h k l  2θ/deg  intensity
6 0 0  32.46  28
5 1 0  36.00  45
2 0 2  36.23  24
3 1 -2  38.76  100
5 1 -2  42.16  32
5 1 1  42.77  44
4 0 2  43.69  24
0 0 3  47.65  30
0 2 0  47.94  75
10 0 -1  52.62  33



Record 4
Diffraction record for FeCo2N. The X-ray diffraction stick pattern is computed, not measured: it uses a cell relaxed with PBE and Cu Kα.
Lines closer than 0.1° are merged.

Structure:
a = 6.1972 Å, b = 6.1972 Å, c = 4.3006 Å
α = 90.00°, β = 90.00°, γ = 90.00°
Space group I-42d (No. 122)
Asymmetric unit:
Fe  0.0000  0.0000  0.0000
Co  0.1369  0.2500  0.6250
N  0.0000  0.0000  0.5000

Principal peaks in the range 2θ = 5–70°, by angle:
h k l  2θ/deg  intensity
2 1 1  38.65  100
2 2 0  41.20  19
3 1 0  46.33  20
1 1 2  47.08  42
3 0 1  48.91  20
2 0 2  51.75  6
3 2 1  57.77  13
3 1 2  64.31  11
1 0 3  67.01  5
4 2 0  67.60  13